Record 1
# H2PdF8
Simulated X-ray powder pattern, Cu Ka. Input: a crystal structure in Alexandria, relaxed with PBE.

Principal peaks in the range 5° ≤ 2θ ≤ 70°, low angle first:
2θ = 17.33°, I = 575; 2θ = 18.54°, I = 1000; 2θ = 19.02°, I = 508; 2θ = 25.39°, I = 529; 2θ = 25.60°, I = 764; 2θ = 26.02°, I = 221; 2θ = 32.98°, I = 258; 2θ = 37.64°, I = 277; 2θ = 39.95°, I = 304; 2θ = 41.79°, I = 499

Atomic structure:
Cell lengths 5.435, 5.435, 5.117 Å; angles 90.68, 90.68, 61.68 degrees
Sites, in units of the cell vectors:
H: 0.127 0.127 0.445
H: 0.873 0.873 0.555
Pd: 0.500 0.500 0.000
F: 0.132 0.132 0.631
F: 0.140 0.621 0.851
F: 0.379 0.860 0.149
F: 0.387 0.387 0.305
F: 0.613 0.613 0.695
F: 0.621 0.140 0.851
F: 0.860 0.379 0.149
F: 0.868 0.868 0.369

=====

Record 2
# HPdF4
Simulated X-ray powder pattern, Cu Ka. Input: a crystal structure in Alexandria, relaxed with PBE.

Principal peaks in the range 5° ≤ 2θ ≤ 70°, low angle first:
2θ = 18.61°, I = 721; 2θ = 24.50°, I = 746; 2θ = 29.30°, I = 274; 2θ = 30.94°, I = 1000; 2θ = 44.31°, I = 176; 2θ = 45.50°, I = 306; 2θ = 48.47°, I = 156; 2θ = 53.00°, I = 210; 2θ = 54.01°, I = 352; 2θ = 63.56°, I = 178

Atomic structure:
Cell lengths 6.096, 4.769, 4.526 Å; angles 90.00, 90.00, 90.00 degrees
Sites, in units of the cell vectors:
H: 0.000 0.026 0.000
H: 0.500 0.974 0.500
Pd: 0.000 0.506 0.476
Pd: 0.500 0.494 0.976
F: 0.000 0.121 0.199
F: 0.000 0.853 0.735
F: 0.247 0.343 0.726
F: 0.253 0.657 0.226
F: 0.500 0.147 0.235
F: 0.500 0.879 0.699
F: 0.747 0.657 0.226
F: 0.753 0.343 0.726